The following is a computed powder X-ray diffraction pattern of ZrSn. It was derived from a crystal structure in the Materials Project, relaxed with PBE, using Cu Kα.

Top 6 peaks for 10° ≤ 2θ ≤ 90°, in order of rising 2θ:
d_spacing	2θ/deg	I/Imax
2.775	32.3	24
2.623	34.2	27
2.453	36.6	100
1.602	57.5	18
1.479	62.8	21
1.367	68.6	21

Crystal structure
```
ZrSn
1.0
6.4088 0.0000 0.0000
-3.2044 5.5501 0.0000
0.0000 0.0000 5.2457
Zr Sn
4 4
Direct
0.0000 0.0000 0.0000
0.1671 0.3343 0.5000
0.1671 0.8329 0.5000
0.6657 0.8329 0.5000
0.0044 0.5022 0.0000
0.4978 0.5022 0.0000
0.4978 0.9956 0.0000
0.6667 0.3333 0.5000
```

The following is a computed powder X-ray diffraction pattern of La8Al7GaO24. It was derived from a crystal structure in the Materials Project, relaxed with PBE, using Cu Kα.

Top 6 peaks for 10° ≤ 2θ ≤ 90°, in order of rising 2θ:
d_spacing	2θ/deg	I/Imax
3.826	23.2	38
2.705	33.1	100
2.209	40.9	37
1.913	47.5	36
1.562	59.1	39
1.353	69.5	21

Crystal structure
```
La8Al7GaO24
1.0
7.6521 0.0000 0.0000
0.0000 7.6521 0.0000
0.0000 0.0000 7.6521
La Al Ga O
8 7 1 24
Direct
0.2498 0.2498 0.2498
0.2498 0.2498 0.7502
0.2498 0.7502 0.2498
0.2498 0.7502 0.7502
0.7502 0.2498 0.2498
0.7502 0.2498 0.7502
0.7502 0.7502 0.2498
0.7502 0.7502 0.7502
0.0000 0.0000 0.0000
0.0000 0.0000 0.5000
0.0000 0.5000 0.0000
0.0000 0.5000 0.5000
0.5000 0.0000 0.0000
0.5000 0.0000 0.5000
0.5000 0.5000 0.0000
0.5000 0.5000 0.5000
0.0000 0.0000 0.2499
0.0000 0.0000 0.7501
0.0000 0.2499 0.0000
0.0000 0.2496 0.5000
0.0000 0.5000 0.2496
0.0000 0.5000 0.7504
0.0000 0.7501 0.0000
0.0000 0.7504 0.5000
0.2443 0.5000 0.5000
0.2499 0.0000 0.0000
0.2496 0.0000 0.5000
0.2496 0.5000 0.0000
0.5000 0.0000 0.2496
0.5000 0.0000 0.7504
0.5000 0.2443 0.5000
0.5000 0.2496 0.0000
0.5000 0.5000 0.2443
0.5000 0.5000 0.7557
0.5000 0.7504 0.0000
0.5000 0.7557 0.5000
0.7501 0.0000 0.0000
0.7504 0.0000 0.5000
0.7504 0.5000 0.0000
0.7557 0.5000 0.5000
```

The following is a computed powder X-ray diffraction pattern of MgTi2Si2O8. It was derived from a crystal structure in the Materials Project, relaxed with PBE, using Cu Kα.

Top 6 peaks for 10° ≤ 2θ ≤ 90°, in order of rising 2θ:
d_spacing	2θ/deg	I/Imax
4.703	18.9	31
3.740	23.8	38
2.845	31.4	50
2.579	34.8	100
2.501	35.9	45
1.478	62.9	36

Crystal structure
```
MgTi2Si2O8
1.0
6.1674 0.0000 0.0000
0.0000 2.8450 4.1764
0.0000 -2.8450 4.1764
Mg Ti Si O
1 2 2 8
Direct
0.0000 0.0000 0.0000
0.2861 0.3439 0.3439
0.7139 0.3439 0.3439
0.0000 0.6795 0.6795
0.5000 0.9867 0.9867
0.0000 0.0357 0.5755
0.0000 0.5755 0.0357
0.2107 0.5630 0.5630
0.2841 0.1006 0.1006
0.5000 0.1049 0.6361
0.5000 0.6361 0.1049
0.7159 0.1006 0.1006
0.7893 0.5630 0.5630
```

The following is a computed powder X-ray diffraction pattern of Na3YTiSi2SO12. It was derived from a crystal structure in the Materials Project, relaxed with PBE, using Cu Kα.

Top 6 peaks for 10° ≤ 2θ ≤ 90°, in order of rising 2θ:
d_spacing	2θ/deg	I/Imax
4.695	18.9	87
4.635	19.1	80
4.550	19.5	82
2.968	30.1	87
2.916	30.7	91
2.689	33.3	100

Crystal structure
```
Na3YTiSi2SO12
1.0
7.8191 -4.6692 0.0000
7.8191 4.6692 0.0000
-5.4413 0.0000 7.6577
Na Y Ti Si S O
6 2 2 4 2 24
Direct
0.0640 0.9360 0.5000
0.2089 0.6820 0.1410
0.2988 0.4376 0.7147
0.4376 0.2988 0.2147
0.6820 0.2089 0.6410
0.9360 0.0640 0.0000
0.3410 0.8195 0.9683
0.8195 0.3410 0.4683
0.0497 0.4938 0.2342
0.4938 0.0497 0.7342
0.1283 0.2250 0.8632
0.2250 0.1283 0.3632
0.4099 0.6353 0.5613
0.6353 0.4099 0.0613
0.7479 0.9169 0.1538
0.9169 0.7479 0.6538
0.0625 0.1619 0.4096
0.0672 0.7657 0.8252
0.1268 0.4048 0.0462
0.1619 0.0625 0.9096
0.1885 0.3116 0.3270
0.2282 0.6289 0.3796
0.2485 0.9498 0.1982
0.3116 0.1885 0.8270
0.3674 0.6485 0.7146
0.4048 0.1268 0.5462
0.4485 0.8300 0.6245
0.4517 0.5653 0.0152
0.5653 0.4517 0.5152
0.5913 0.8787 0.1198
0.6289 0.2282 0.8796
0.6485 0.3674 0.2146
0.7206 0.9647 0.0116
0.7632 0.9104 0.6770
0.7657 0.0672 0.3252
0.8300 0.4485 0.1245
0.8787 0.5913 0.6198
0.9104 0.7632 0.1770
0.9498 0.2485 0.6982
0.9647 0.7206 0.5116
```

The following is a computed powder X-ray diffraction pattern of LaMgTl. It was derived from a crystal structure in the Materials Project, relaxed with PBE, using Cu Kα.

Top 6 peaks for 10° ≤ 2θ ≤ 90°, in order of rising 2θ:
d_spacing	2θ/deg	I/Imax
3.956	22.5	31
3.939	22.6	46
3.059	29.2	47
2.791	32.1	100
2.276	39.6	59
1.489	62.3	30

Crystal structure
```
LaMgTl
1.0
7.8773 0.0000 0.0000
-3.9386 6.8219 0.0000
0.0000 0.0000 4.8559
La Mg Tl
3 3 3
Direct
0.0000 0.4258 0.0000
0.4258 0.0000 0.0000
0.5742 0.5742 0.0000
0.0000 0.7578 0.5000
0.2422 0.2422 0.5000
0.7578 0.0000 0.5000
0.0000 0.0000 0.0000
0.3333 0.6667 0.5000
0.6667 0.3333 0.5000
```

The following is a computed powder X-ray diffraction pattern of InP2H9N2O8. It was derived from a crystal structure in the Materials Project, relaxed with PBE, using Cu Kα.

Top 6 peaks for 10° ≤ 2θ ≤ 90°, in order of rising 2θ:
d_spacing	2θ/deg	I/Imax
6.313	14.0	100
4.430	20.0	40
3.378	26.4	57
3.136	28.5	46
3.036	29.4	28
2.685	33.4	22

Crystal structure
```
InP2H9N2O8
1.0
4.6678 -8.8515 0.0000
4.6678 8.8515 0.0000
-4.6544 0.0000 4.8961
In P H N O
2 4 18 4 16
Direct
0.1248 0.8752 0.5000
0.8752 0.1248 0.0000
0.1403 0.9822 0.0493
0.3175 0.6589 0.5459
0.6589 0.3175 0.0459
0.9822 0.1403 0.5493
0.0284 0.6437 0.9304
0.0421 0.4749 0.8131
0.2455 0.5015 0.7384
0.4080 0.8705 0.3621
0.4152 0.8401 0.0991
0.4328 0.5064 0.0955
0.4749 0.0421 0.3131
0.5015 0.2455 0.2384
0.5064 0.4328 0.5955
0.5281 0.5963 0.8260
0.5404 0.6567 0.4288
0.5963 0.5281 0.3260
0.6437 0.0284 0.4304
0.6567 0.5404 0.9288
0.7042 0.7396 0.3543
0.7396 0.7042 0.8543
0.8401 0.4152 0.5991
0.8705 0.4080 0.8621
0.4861 0.9455 0.3014
0.5664 0.6067 0.2987
0.6067 0.5664 0.7987
0.9455 0.4861 0.8014
0.1060 0.8559 0.7965
0.1232 0.8716 0.1742
0.1916 0.4419 0.2947
0.2171 0.3676 0.7577
0.2515 0.7557 0.4699
0.2884 0.6376 0.7554
0.3676 0.2171 0.2577
0.4419 0.1916 0.7947
0.5531 0.8016 0.6766
0.6376 0.2884 0.2554
0.7557 0.2515 0.9699
0.8016 0.5531 0.1766
0.8559 0.1060 0.2965
0.8716 0.1232 0.6742
0.9621 0.9651 0.9648
0.9651 0.9621 0.4648
```

The following is a computed powder X-ray diffraction pattern of LaP3H6O6. It was derived from a crystal structure in the Materials Project, relaxed with PBE, using Cu Kα.

Top 6 peaks for 10° ≤ 2θ ≤ 90°, in order of rising 2θ:
d_spacing	2θ/deg	I/Imax
8.551	10.3	100
7.085	12.5	89
5.856	15.1	73
5.632	15.7	51
3.329	26.8	52
3.230	27.6	35

Crystal structure
```
LaP3H6O6
1.0
6.9368 0.0000 0.0000
1.6974 7.0994 0.0000
2.0347 0.5370 8.5508
La P H O
2 6 12 12
Direct
0.2343 0.4119 0.1416
0.7657 0.5881 0.8584
0.1414 0.2953 0.5732
0.2291 0.7688 0.8049
0.3919 0.8703 0.1796
0.6081 0.1297 0.8204
0.7709 0.2312 0.1951
0.8586 0.7047 0.4268
0.1385 0.8322 0.6742
0.1769 0.9283 0.8960
0.2476 0.1088 0.5854
0.2754 0.8304 0.3317
0.2878 0.4056 0.5659
0.4798 0.9612 0.5254
0.5202 0.0388 0.4746
0.7122 0.5944 0.4341
0.7246 0.1696 0.6683
0.7524 0.8912 0.4146
0.8231 0.0717 0.1040
0.8615 0.1678 0.3258
0.0186 0.6785 0.2756
0.0776 0.3225 0.4157
0.1189 0.6161 0.8986
0.2814 0.0604 0.1164
0.4280 0.6927 0.0869
0.4582 0.7098 0.7477
0.5418 0.2902 0.2523
0.5720 0.3073 0.9131
0.7186 0.9396 0.8836
0.8811 0.3839 0.1014
0.9224 0.6775 0.5843
0.9814 0.3215 0.7244
```

The following is a computed powder X-ray diffraction pattern of CuHgSBr. It was derived from a crystal structure in the Materials Project, relaxed with PBE, using Cu Kα.

Top 6 peaks for 10° ≤ 2θ ≤ 90°, in order of rising 2θ:
d_spacing	2θ/deg	I/Imax
4.468	19.9	30
3.538	25.2	68
3.192	28.0	29
3.025	29.5	32
2.654	33.8	100
2.525	35.6	35

Crystal structure
```
CuHgSBr
1.0
10.1025 0.0000 0.0000
0.0000 4.1105 0.0000
0.0000 0.0000 9.5789
Cu Hg S Br
4 4 4 4
Direct
0.0763 0.0000 0.2074
0.4237 0.0000 0.2074
0.5763 0.0000 0.7926
0.9237 0.0000 0.7926
0.0000 0.5000 0.5000
0.2500 0.5000 0.7799
0.5000 0.5000 0.5000
0.7500 0.5000 0.2201
0.0091 0.5000 0.7546
0.4909 0.5000 0.7546
0.5091 0.5000 0.2454
0.9909 0.5000 0.2454
0.2500 0.0000 0.0280
0.2500 0.0000 0.4496
0.7500 0.0000 0.5504
0.7500 0.0000 0.9720
```